[1]
Structure and simulated PXRD pattern of Li2AgTeSe4 (a structure optimized by DFT (GGA-PBE); λ = 1.5418 Å (Cu Kα)).
Neutral-atom scattering factors, no anomalous dispersion.

Structural model:
```
data_Li2AgTeSe4
_chemical_formula_sum 'Li4 Ag2 Te2 Se8'
_symmetry_space_group_name_H-M 'P 1'
_symmetry_Int_Tables_number 1
_symmetry_space_group_name_Hall 'P 1'
_cell_length_a 8.060
_cell_length_b 8.060
_cell_length_c 8.060
_cell_angle_alpha 122.13
_cell_angle_beta 121.87
_cell_angle_gamma 86.57
loop_
_atom_site_label
_atom_site_fract_x
_atom_site_fract_y
_atom_site_fract_z
Li1 0.000 0.000 0.000
Li2 0.500 0.000 0.000
Li3 0.500 0.000 0.500
Li4 0.500 0.500 0.500
Ag1 0.000 0.000 0.500
Ag2 0.000 0.500 0.000
Te1 0.000 0.500 0.500
Te2 0.500 0.500 0.000
Se1 0.225 0.742 0.483
Se2 0.240 0.258 0.983
Se3 0.276 0.269 0.493
Se4 0.276 0.782 0.007
Se5 0.724 0.218 0.993
Se6 0.724 0.731 0.507
Se7 0.760 0.742 0.017
Se8 0.775 0.258 0.517
```

Peak list (6 most intense, 2θ from 10° to 80°, low angle first)
2θ/deg  intensity
13.62  61
25.46  28
30.47  53
32.40  100
45.07  69
46.59  24

=====

[2]
Structure and simulated PXRD pattern of LiThAgSe3 (a structure optimized by DFT (GGA-PBE); λ = 1.5418 Å (Cu Kα)).
Neutral-atom scattering factors, no anomalous dispersion.

Structural model:
```
data_LiThAgSe3
_chemical_formula_sum 'Li2 Th2 Ag2 Se6'
_symmetry_space_group_name_H-M 'P 1'
_symmetry_Int_Tables_number 1
_symmetry_space_group_name_Hall 'P 1'
_cell_length_a 8.736
_cell_length_b 4.079
_cell_length_c 8.790
_cell_angle_alpha 90.00
_cell_angle_beta 105.53
_cell_angle_gamma 90.00
loop_
_atom_site_label
_atom_site_fract_x
_atom_site_fract_y
_atom_site_fract_z
Li1 0.102 0.250 0.110
Li2 0.898 0.750 0.890
Th1 0.283 0.750 0.812
Th2 0.717 0.250 0.188
Ag1 0.289 0.750 0.406
Ag2 0.711 0.250 0.594
Se1 0.009 0.250 0.780
Se2 0.366 0.250 0.065
Se3 0.383 0.250 0.618
Se4 0.617 0.750 0.382
Se5 0.634 0.750 0.935
Se6 0.991 0.750 0.220
```

Peak list (6 most intense, 2θ from 10° to 80°, low angle first)
2θ/deg  intensity
20.81  56
30.32  100
30.43  90
38.96  51
40.05  72
42.59  53

=====

[3]
Structure and simulated PXRD pattern of Li3Zr3AgSe8 (a structure optimized by DFT (GGA-PBE); λ = 1.5418 Å (Cu Kα)).
Neutral-atom scattering factors, no anomalous dispersion.

Structural model:
```
data_Li3Zr3AgSe8
_chemical_formula_sum 'Li3 Zr3 Ag1 Se8'
_symmetry_space_group_name_H-M 'P 1'
_symmetry_Int_Tables_number 1
_symmetry_space_group_name_Hall 'P 1'
_cell_length_a 7.834
_cell_length_b 7.834
_cell_length_c 7.834
_cell_angle_alpha 59.09
_cell_angle_beta 59.09
_cell_angle_gamma 59.09
loop_
_atom_site_label
_atom_site_fract_x
_atom_site_fract_y
_atom_site_fract_z
Li1 0.000 0.500 0.500
Li2 0.500 0.000 0.500
Li3 0.500 0.500 0.000
Zr1 0.000 0.000 0.500
Zr2 0.000 0.500 0.000
Zr3 0.500 0.000 0.000
Ag1 0.500 0.500 0.500
Se1 0.235 0.756 0.756
Se2 0.244 0.244 0.765
Se3 0.244 0.765 0.244
Se4 0.250 0.250 0.250
Se5 0.750 0.750 0.750
Se6 0.756 0.235 0.756
Se7 0.756 0.756 0.235
Se8 0.765 0.244 0.244
```

Peak list (6 most intense, 2θ from 10° to 80°, low angle first)
2θ/deg  intensity
13.75  37
27.05  21
32.56  100
46.37  36
47.05  34
58.39  18

=====

[4]
Structure and simulated PXRD pattern of Li4Si2Ag (a structure optimized by DFT (GGA-PBE); λ = 1.5418 Å (Cu Kα)).
Neutral-atom scattering factors, no anomalous dispersion.

Structural model:
```
data_Li4Si2Ag
_chemical_formula_sum 'Li4 Si2 Ag1'
_symmetry_space_group_name_H-M 'P 1'
_symmetry_Int_Tables_number 1
_symmetry_space_group_name_Hall 'P 1'
_cell_length_a 3.911
_cell_length_b 3.911
_cell_length_c 9.012
_cell_angle_alpha 90.00
_cell_angle_beta 90.00
_cell_angle_gamma 120.00
loop_
_atom_site_label
_atom_site_fract_x
_atom_site_fract_y
_atom_site_fract_z
Li1 0.333 0.667 0.277
Li2 0.333 0.667 0.868
Li3 0.667 0.333 0.132
Li4 0.667 0.333 0.723
Si1 0.333 0.667 0.558
Si2 0.667 0.333 0.442
Ag1 0.000 0.000 0.000
```

Peak list (6 most intense, 2θ from 10° to 80°, low angle first)
2θ/deg  intensity
19.70  45
28.14  100
33.08  33
40.12  38
46.43  23
50.90  20

=====

[5]
Structure and simulated PXRD pattern of Li3SiAg6 (a structure optimized by DFT (GGA-PBE); λ = 1.5418 Å (Cu Kα)).
Neutral-atom scattering factors, no anomalous dispersion.

Structural model:
```
data_Li3SiAg6
_chemical_formula_sum 'Li6 Si2 Ag12'
_symmetry_space_group_name_H-M 'P 1'
_symmetry_Int_Tables_number 1
_symmetry_space_group_name_Hall 'P 1'
_cell_length_a 8.371
_cell_length_b 8.371
_cell_length_c 5.118
_cell_angle_alpha 90.00
_cell_angle_beta 90.00
_cell_angle_gamma 102.93
loop_
_atom_site_label
_atom_site_fract_x
_atom_site_fract_y
_atom_site_fract_z
Li1 0.137 0.863 0.500
Li2 0.209 0.400 0.869
Li3 0.400 0.209 0.369
Li4 0.600 0.791 0.869
Li5 0.791 0.600 0.369
Li6 0.863 0.137 0.000
Si1 0.342 0.658 0.557
Si2 0.658 0.342 0.057
Ag1 0.079 0.500 0.349
Ag2 0.080 0.183 0.494
Ag3 0.183 0.080 0.994
Ag4 0.251 0.749 0.995
Ag5 0.465 0.535 0.187
Ag6 0.500 0.079 0.849
Ag7 0.500 0.921 0.349
Ag8 0.535 0.465 0.687
Ag9 0.749 0.251 0.495
Ag10 0.817 0.920 0.494
Ag11 0.920 0.817 0.994
Ag12 0.921 0.500 0.849
```

Peak list (6 most intense, 2θ from 10° to 80°, low angle first)
2θ/deg  intensity
20.49  58
22.05  88
26.53  62
36.84  89
37.45  100
39.61  80

=====

[6]
Structure and simulated PXRD pattern of Li6SmAg12 (a structure optimized by DFT (GGA-PBE); λ = 1.5418 Å (Cu Kα)).
Neutral-atom scattering factors, no anomalous dispersion.

Structural model:
```
data_Li6SmAg12
_chemical_formula_sum 'Li6 Sm1 Ag12'
_symmetry_space_group_name_H-M 'P 1'
_symmetry_Int_Tables_number 1
_symmetry_space_group_name_Hall 'P 1'
_cell_length_a 7.411
_cell_length_b 7.411
_cell_length_c 7.411
_cell_angle_alpha 105.91
_cell_angle_beta 105.91
_cell_angle_gamma 105.91
loop_
_atom_site_label
_atom_site_fract_x
_atom_site_fract_y
_atom_site_fract_z
Li1 0.277 0.277 0.710
Li2 0.277 0.710 0.277
Li3 0.290 0.723 0.723
Li4 0.710 0.277 0.277
Li5 0.723 0.290 0.723
Li6 0.723 0.723 0.290
Sm1 0.000 0.000 0.000
Ag1 0.117 0.500 0.883
Ag2 0.117 0.883 0.500
Ag3 0.142 0.391 0.391
Ag4 0.391 0.142 0.391
Ag5 0.391 0.391 0.142
Ag6 0.500 0.117 0.883
Ag7 0.500 0.883 0.117
Ag8 0.609 0.609 0.858
Ag9 0.609 0.858 0.609
Ag10 0.858 0.609 0.609
Ag11 0.883 0.117 0.500
Ag12 0.883 0.500 0.117
```

Peak list (6 most intense, 2θ from 10° to 80°, low angle first)
2θ/deg  intensity
22.36  21
27.02  20
33.19  100
34.69  50
41.03  25
49.23  32

=====

[7]
Structure and simulated PXRD pattern of LiSmAg4 (a structure optimized by DFT (GGA-PBE); λ = 1.5418 Å (Cu Kα)).
Neutral-atom scattering factors, no anomalous dispersion.

Structural model:
```
data_LiSmAg4
_chemical_formula_sum 'Li2 Sm2 Ag8'
_symmetry_space_group_name_H-M 'P 1'
_symmetry_Int_Tables_number 1
_symmetry_space_group_name_Hall 'P 1'
_cell_length_a 5.255
_cell_length_b 9.138
_cell_length_c 5.152
_cell_angle_alpha 90.00
_cell_angle_beta 99.75
_cell_angle_gamma 90.00
loop_
_atom_site_label
_atom_site_fract_x
_atom_site_fract_y
_atom_site_fract_z
Li1 0.000 0.000 0.000
Li2 0.500 0.500 0.000
Sm1 0.000 0.500 0.500
Sm2 0.500 0.000 0.500
Ag1 0.000 0.164 0.500
Ag2 0.000 0.316 0.000
Ag3 0.000 0.684 0.000
Ag4 0.000 0.836 0.500
Ag5 0.500 0.184 0.000
Ag6 0.500 0.336 0.500
Ag7 0.500 0.664 0.500
Ag8 0.500 0.816 0.000
```

Peak list (6 most intense, 2θ from 10° to 80°, low angle first)
2θ/deg  intensity
26.24  26
34.64  63
35.35  60
37.18  100
39.99  84
45.61  29

=====

[8]
Structure and simulated PXRD pattern of Li8SmAg4 (a structure optimized by DFT (GGA-PBE); λ = 1.5418 Å (Cu Kα)).
Neutral-atom scattering factors, no anomalous dispersion.

Structural model:
```
data_Li8SmAg4
_chemical_formula_sum 'Li8 Sm1 Ag4'
_symmetry_space_group_name_H-M 'P 1'
_symmetry_Int_Tables_number 1
_symmetry_space_group_name_Hall 'P 1'
_cell_length_a 7.135
_cell_length_b 7.135
_cell_length_c 7.135
_cell_angle_alpha 99.01
_cell_angle_beta 99.01
_cell_angle_gamma 133.36
loop_
_atom_site_label
_atom_site_fract_x
_atom_site_fract_y
_atom_site_fract_z
Li1 0.000 0.220 0.220
Li2 0.000 0.780 0.780
Li3 0.151 0.500 0.651
Li4 0.220 0.000 0.220
Li5 0.500 0.151 0.651
Li6 0.500 0.849 0.349
Li7 0.780 0.000 0.780
Li8 0.849 0.500 0.349
Sm1 0.500 0.500 0.000
Ag1 0.000 0.000 0.500
Ag2 0.000 0.500 0.000
Ag3 0.500 0.000 0.000
Ag4 0.500 0.500 0.500
```

Peak list (6 most intense, 2θ from 10° to 80°, low angle first)
2θ/deg  intensity
18.40  31
19.16  62
27.22  100
37.29  97
38.88  45
54.96  56